This entry pairs a crystal structure of La2InAgRu with its calculated powder diffractogram. Radiation: copper Kα. Structure: a GGA-PBE-relaxed structure.

Main lines, by angle (10 to 80 degrees two-theta):
2theta	Rel. int.
28.46	31
28.95	48
31.03	100
31.87	48
32.21	29
34.31	69
35.71	41
36.11	61
38.84	46
43.01	50

Structural model:
```
La2InAgRu
1.0
8.007 0.000 0.000
0.000 4.206 0.000
-2.799 0.000 7.853
La In Ag Ru
4 2 2 2
direct
0.034 0.250 0.236
0.348 0.750 0.617
0.652 0.250 0.383
0.966 0.750 0.764
0.338 0.250 0.954
0.662 0.750 0.046
0.328 0.750 0.194
0.672 0.250 0.806
0.111 0.250 0.626
0.889 0.750 0.374
```